(1)
This entry pairs a crystal structure of CrGe with its theoretical powder diffractogram. Radiation: Cu Kα (weighted mean of Kα1 and Kα2). Structure: a cell relaxed with PBE.

Main lines, sorted by position (2θ = 5–70°):
- d = 2.753 Å, rel. 17, hkl 1 1 1
- d = 2.384 Å, rel. 9, hkl 2 0 0
- d = 2.132 Å, rel. 100, hkl 2 1 0
- d = 1.946 Å, rel. 54, hkl 2 1 1
- d = 1.589 Å, rel. 7, hkl 2 2 1
- d = 1.437 Å, rel. 10, hkl 3 1 1

Crystal structure
Lattice parameters (Å, degrees): 4.768 4.768 4.768 90.00 90.00 90.00
Fractional positions:
1 Cr 0.137 0.137 0.137
2 Cr 0.363 0.863 0.637
3 Cr 0.637 0.363 0.863
4 Cr 0.863 0.637 0.363
5 Ge 0.155 0.345 0.655
6 Ge 0.345 0.655 0.155
7 Ge 0.655 0.155 0.345
8 Ge 0.845 0.845 0.845



(2)
This entry pairs a crystal structure of La6CrGe2S14 with its theoretical powder diffractogram. Radiation: Cu Kα (weighted mean of Kα1 and Kα2). Structure: a cell relaxed with PBE.

Main lines, sorted by position (2θ = 5–70°):
- d = 3.883 Å, rel. 31, hkl 1 1 1
- d = 3.563 Å, rel. 100, hkl 2 0 1
- d = 2.587 Å, rel. 35, hkl 2 2 0
- d = 2.485 Å, rel. 34, hkl 1 3 0
- d = 2.456 Å, rel. 32, hkl 0 2 2
- d = 2.289 Å, rel. 35, hkl 4 -3 1

Crystal structure
Lattice parameters (Å, degrees): 10.348 10.348 5.874 90.00 90.00 120.00
Fractional positions:
1 La 0.023 0.563 0.000
2 La 0.311 0.105 0.499
3 La 0.437 0.460 0.000
4 La 0.540 0.977 0.000
5 La 0.794 0.689 0.499
6 La 0.895 0.206 0.499
7 Cr 0.667 0.333 0.768
8 Ge 0.000 0.000 0.910
9 Ge 0.333 0.667 0.415
10 S 0.000 0.000 0.285
11 S 0.081 0.854 0.762
12 S 0.146 0.228 0.762
13 S 0.186 0.440 0.266
14 S 0.254 0.814 0.266
15 S 0.333 0.667 0.789
16 S 0.428 0.179 0.002
17 S 0.515 0.420 0.537
18 S 0.560 0.746 0.266
19 S 0.580 0.095 0.537
20 S 0.751 0.572 0.002
21 S 0.772 0.919 0.762
22 S 0.821 0.249 0.002
23 S 0.905 0.485 0.537



(3)
This entry pairs a crystal structure of Cr7GeN6 with its theoretical powder diffractogram. Radiation: Cu Kα (weighted mean of Kα1 and Kα2). Structure: a cell relaxed with PBE.

Main lines, sorted by position (2θ = 5–70°):
- d = 2.484 Å, rel. 35, hkl 0 2 2
- d = 2.419 Å, rel. 100, hkl 2 0 4
- d = 2.304 Å, rel. 38, hkl 4 0 0
- d = 2.186 Å, rel. 60, hkl 2 2 2
- d = 1.819 Å, rel. 21, hkl 2 2 4
- d = 1.562 Å, rel. 19, hkl 0 2 6

Crystal structure
Lattice parameters (Å, degrees): 9.217 5.523 11.367 90.00 90.00 90.00
Fractional positions:
1 Cr 0.000 0.029 0.250
2 Cr 0.000 0.971 0.750
3 Cr 0.013 0.251 0.002
4 Cr 0.013 0.749 0.502
5 Cr 0.219 0.463 0.870
6 Cr 0.219 0.537 0.370
7 Cr 0.247 0.033 0.594
8 Cr 0.247 0.967 0.094
9 Cr 0.253 0.467 0.094
10 Cr 0.253 0.533 0.594
11 Cr 0.281 0.037 0.370
12 Cr 0.281 0.963 0.870
13 Cr 0.487 0.249 0.502
14 Cr 0.487 0.751 0.002
15 Cr 0.500 0.471 0.750
16 Cr 0.500 0.529 0.250
17 Cr 0.513 0.249 0.998
18 Cr 0.513 0.751 0.498
19 Cr 0.719 0.037 0.130
20 Cr 0.719 0.963 0.630
21 Cr 0.747 0.467 0.406
22 Cr 0.747 0.533 0.906
23 Cr 0.753 0.033 0.906
24 Cr 0.753 0.967 0.406
25 Cr 0.781 0.463 0.630
26 Cr 0.781 0.537 0.130
27 Cr 0.987 0.251 0.498
28 Cr 0.987 0.749 0.998
29 Ge 0.000 0.494 0.750
30 Ge 0.000 0.506 0.250
31 Ge 0.500 0.006 0.250
32 Ge 0.500 0.994 0.750
33 N 0.104 0.154 0.860
34 N 0.104 0.846 0.360
35 N 0.117 0.211 0.143
36 N 0.117 0.789 0.643
37 N 0.183 0.279 0.487
38 N 0.183 0.721 0.987
39 N 0.317 0.221 0.987
40 N 0.317 0.779 0.487
41 N 0.383 0.289 0.643
42 N 0.383 0.711 0.143
43 N 0.396 0.346 0.360
44 N 0.396 0.654 0.860
45 N 0.604 0.346 0.140
46 N 0.604 0.654 0.640
47 N 0.617 0.289 0.857
48 N 0.617 0.711 0.357
49 N 0.683 0.221 0.513
50 N 0.683 0.779 0.013
51 N 0.817 0.279 0.013
52 N 0.817 0.721 0.513
53 N 0.883 0.211 0.357
54 N 0.883 0.789 0.857
55 N 0.896 0.154 0.640
56 N 0.896 0.846 0.140



(4)
This entry pairs a crystal structure of Cr3GeN with its theoretical powder diffractogram. Radiation: Cu Kα (weighted mean of Kα1 and Kα2). Structure: a cell relaxed with PBE.

Main lines, sorted by position (2θ = 5–70°):
- d = 2.747 Å, rel. 14, hkl 1 1 1
- d = 2.220 Å, rel. 100, hkl 2 0 1
- d = 2.049 Å, rel. 14, hkl 2 1 1
- d = 2.005 Å, rel. 16, hkl 0 0 2
- d = 1.885 Å, rel. 38, hkl 2 2 0
- d = 1.373 Å, rel. 14, hkl 2 2 2

Crystal structure
Lattice parameters (Å, degrees): 5.331 5.331 4.010 90.00 90.00 90.00
Fractional positions:
1 Cr 0.000 0.000 0.000
2 Cr 0.208 0.292 0.578
3 Cr 0.292 0.792 0.422
4 Cr 0.500 0.500 0.000
5 Cr 0.708 0.208 0.422
6 Cr 0.792 0.708 0.578
7 Ge 0.000 0.500 0.054
8 Ge 0.500 0.000 0.946
9 N 0.000 0.000 0.500
10 N 0.500 0.500 0.500



(5)
This entry pairs a crystal structure of NdCrGe3 with its theoretical powder diffractogram. Radiation: Cu Kα (weighted mean of Kα1 and Kα2). Structure: a cell relaxed with PBE.

Main lines, sorted by position (2θ = 5–70°):
- d = 3.083 Å, rel. 21, hkl 1 1 0
- d = 2.875 Å, rel. 30, hkl 0 0 2
- d = 2.531 Å, rel. 21, hkl 1 0 2
- d = 2.421 Å, rel. 100, hkl 2 0 1
- d = 1.956 Å, rel. 31, hkl 2 0 2
- d = 1.557 Å, rel. 25, hkl 2 0 3

Crystal structure
Lattice parameters (Å, degrees): 6.165 6.165 5.750 90.00 90.00 120.00
Fractional positions:
1 Nd 0.333 0.667 0.250
2 Nd 0.667 0.333 0.750
3 Cr 0.000 0.000 0.000
4 Cr 0.000 0.000 0.500
5 Ge 0.192 0.385 0.750
6 Ge 0.192 0.808 0.750
7 Ge 0.385 0.192 0.250
8 Ge 0.615 0.808 0.750
9 Ge 0.808 0.192 0.250
10 Ge 0.808 0.615 0.250